Simulated X-ray powder pattern of SmHo12Tm7 for copper Kα, from a DFT-relaxed cell (GGA-PBE, Alexandria).
Peak positions follow from Bragg's law for the DFT cell and can differ from measured ones.

Peak list (12 most intense, 2θ from 10° to 90°, in order of rising 2θ)
Position (°2θ), intensity
24.24, 14
27.63, 20
30.01, 62
31.07, 42
32.18, 100
39.80, 32
42.66, 34
47.41, 14
47.95, 13
51.88, 14
56.03, 18
59.97, 14

Lattice parameters (Å, degrees): 8.6082 8.6082 8.6082 95.15 95.15 95.15
Sites, in units of the cell vectors:
Sm  0.0000  0.0000  0.0000
Ho  0.1461  0.4749  0.4133
Ho  0.1894  0.3181  0.7499
Ho  0.2501  0.8106  0.6819
Ho  0.3181  0.7499  0.1894
Ho  0.4133  0.1461  0.4749
Ho  0.4749  0.4133  0.1461
Ho  0.5251  0.5867  0.8539
Ho  0.5867  0.8539  0.5251
Ho  0.6819  0.2501  0.8106
Ho  0.7499  0.1894  0.3181
Ho  0.8106  0.6819  0.2501
Ho  0.8539  0.5251  0.5867
Tm  0.0160  0.3503  0.0802
Tm  0.0802  0.0160  0.3503
Tm  0.3503  0.0802  0.0160
Tm  0.5000  0.5000  0.5000
Tm  0.6497  0.9198  0.9840
Tm  0.9198  0.9840  0.6497
Tm  0.9840  0.6497  0.9198